(1)
Starting from DFT lattice parameters and positions (GGA-PBE), the XRD peak list of Cs3Hg7Sb2 was computed for copper Kα.
Peak positions follow from Bragg's law for the DFT cell and can differ from measured ones.

Principal peaks in the range 2θ from 5° to 70°, sorted by position:
- 26.15°, rel. 100, (1 1 2)
- 27.98°, rel. 79, (1 1 -3)
- 32.06°, rel. 24, (2 1 -1)
- 32.16°, rel. 68, (0 2 0)
- 33.71°, rel. 27, (2 1 1)
- 34.01°, rel. 32, (0 0 5)
- 36.04°, rel. 24, (2 1 -3)
- 47.51°, rel. 26, (0 2 5)

Atomic structure:
abc: 6.4921 5.5671 13.3101
angles: 90.00 98.06 90.00
Space group P2/m (No. 10)
Asymmetric unit:
Cs: 0.0000 0.0000 0.0000 (multiplicity 1)
Cs: 0.2004 0.0000 0.3805 (multiplicity 2)
Hg: 0.1271 0.5000 0.8054 (multiplicity 2)
Hg: 0.3105 0.5000 0.6007 (multiplicity 2)
Hg: 0.3535 0.0000 0.7511 (multiplicity 2)
Hg: 0.5000 0.5000 0.0000 (multiplicity 1)
Sb: 0.3328 0.5000 0.1802 (multiplicity 2)

***

(2)
Starting from DFT lattice parameters and positions (GGA-PBE), the XRD peak list of CdHg was computed for copper Kα.
Peak positions follow from Bragg's law for the DFT cell and can differ from measured ones.

Principal peaks in the range 2θ from 5° to 70°, sorted by position:
- 31.10°, rel. 52, (0 0 4)
- 32.49°, rel. 35, (1 0 0)
- 33.44°, rel. 100, (1 0 1)
- 40.31°, rel. 73, (1 0 3)
- 45.60°, rel. 27, (1 0 4)
- 51.77°, rel. 23, (1 0 5)
- 57.96°, rel. 27, (1 1 0)
- 67.25°, rel. 34, (1 1 4)

Atomic structure:
abc: 3.1821 3.1821 11.5013
angles: 90.00 90.00 120.00
Space group P6_3mc (No. 186)
Asymmetric unit:
Cd: 0.3333 0.6667 0.0000 (multiplicity 2)
Hg: 0.3333 0.6667 0.2593 (multiplicity 2)

***

(3)
Starting from DFT lattice parameters and positions (GGA-PBE), the XRD peak list of Ag3HgF3 was computed for copper Kα.
Peak positions follow from Bragg's law for the DFT cell and can differ from measured ones.

Principal peaks in the range 2θ from 5° to 70°, sorted by position:
- 17.49°, rel. 73, (0 1 1)
- 26.97°, rel. 57, (2 1 -2)
- 28.67°, rel. 52, (0 2 0)
- 31.67°, rel. 54, (1 1 -3)
- 32.78°, rel. 60, (3 1 -1)
- 33.69°, rel. 77, (1 2 1)
- 35.05°, rel. 100, (2 0 2)
- 48.41°, rel. 35, (2 2 -4)

Atomic structure:
abc: 9.1551 6.2266 9.5246
angles: 90.00 113.47 90.00
Space group P2_1/c (No. 14)
Asymmetric unit:
Ag: 0.0841 0.0605 0.1569 (multiplicity 4)
Ag: 0.1796 0.6607 0.0762 (multiplicity 4)
Ag: 0.4131 0.5753 0.7985 (multiplicity 4)
Hg: 0.2734 0.0396 0.9874 (multiplicity 4)
F: 0.0405 0.0624 0.6830 (multiplicity 4)
F: 0.3310 0.0859 0.4837 (multiplicity 4)
F: 0.4003 0.5223 0.3250 (multiplicity 4)